This entry pairs a crystal structure of AcZn2Ga4 with its theoretical powder diffractogram. Radiation: copper Kα. Structure: a crystal structure in Alexandria, relaxed with GGA-PBE.
Intensities are scaled so that the largest is 100.

The 10 most intense peaks (5 to 70 degrees two-theta), by angle:
- (1 3 0), d = 3.234 Å, I = 21
- (1 1 1), d = 3.221 Å, I = 34
- (1 3 1), d = 2.635 Å, I = 100
- (2 0 0), d = 2.440 Å, I = 32
- (1 5 0), d = 2.288 Å, I = 15
- (0 0 2), d = 2.272 Å, I = 26
- (2 4 1), d = 1.791 Å, I = 17
- (2 0 2), d = 1.663 Å, I = 20
- (3 3 1), d = 1.443 Å, I = 12
- (1 3 3), d = 1.372 Å, I = 13

Cell and atoms:
Cell: 4.8798 12.9523 4.5449 Å, 90.00 90.00 90.00°
Space group Cmmm (No. 65)
Asymmetric unit:
Ac (0.0000, 0.0000, 0.0000) x2
Zn (0.0000, 0.4048, 0.5000) x4
Ga (0.0000, 0.1850, 0.5000) x4
Ga (0.0000, 0.3013, 0.0000) x4